Calculated powder diffractogram of K2TlPb2F7 for Cu Ka, from a DFT-relaxed cell (GGA-PBE, Alexandria).
Neutral-atom scattering factors, no anomalous dispersion.

Largest 10 diffraction maxima, in order of rising 2θ, 10° ≤ 2θ ≤ 90°:
| two_theta | d_spacing | intensity |
| --- | --- | --- |
| 21.86 | 4.066 | 38 |
| 24.37 | 3.652 | 79 |
| 26.45 | 3.370 | 100 |
| 26.86 | 3.320 | 99 |
| 29.20 | 3.058 | 50 |
| 37.70 | 2.386 | 35 |
| 38.39 | 2.345 | 64 |
| 44.18 | 2.050 | 30 |
| 44.45 | 2.038 | 29 |
| 45.40 | 1.998 | 28 |

Lattice parameters (Å, degrees): 6.1169 7.3042 12.2609 90.00 103.31 90.00
Space group C2/m (No. 12)
One atom of each set of equivalent atoms:
K1 0.1702 0.0000 0.3798 x4
Tl1 0.0000 0.0000 0.0000 x2
Pb1 0.1036 0.5000 0.2064 x4
F1 0.0000 0.5000 0.0000 x2
F2 0.0862 0.1926 0.7955 x8
F3 0.2263 0.5000 0.4069 x4